(1)
Structure and theoretical X-ray diffraction stick pattern of Ce2NpWN5 (a GGA-PBE-relaxed structure; λ = 1.5418 Å (Cu Kα)).

Atomic structure:
```
data_Ce2NpWN5
_cell_length_a 6.618
_cell_length_b 6.618
_cell_length_c 5.881
_cell_angle_alpha 90.00
_cell_angle_beta 90.00
_cell_angle_gamma 90.00
_space_group_name_H-M_alt 'P 4/m b m'
_space_group_IT_number 127
_space_group_name_Hall '-P 4 2ab'
loop_
_atom_site_label
_atom_site_type_symbol
_atom_site_fract_x
_atom_site_fract_y
_atom_site_fract_z
Ce1 Ce 0.169 0.331 0.000
Np1 Np 0.000 0.000 0.500
W1 W 0.000 0.500 0.500
N1 N 0.000 0.000 0.000
N2 N 0.149 0.649 0.266
```

Principal peaks in the range 10 to 90 degrees two-theta, by angle:
| d (Å) | I_rel |
| --- | --- |
| 3.309 | 165 |
| 2.940 | 377 |
| 2.884 | 1000 |
| 2.644 | 241 |
| 2.340 | 246 |
| 2.174 | 163 |
| 1.831 | 228 |
| 1.687 | 217 |

=====

(2)
Structure and theoretical X-ray diffraction stick pattern of Ce3NO2 (a GGA-PBE-relaxed structure; λ = 1.5418 Å (Cu Kα)).

Atomic structure:
```
data_Ce3NO2
_cell_length_a 7.063
_cell_length_b 10.000
_cell_length_c 21.243
_cell_angle_alpha 90.00
_cell_angle_beta 90.00
_cell_angle_gamma 90.00
_space_group_name_H-M_alt 'F d d d'
_space_group_IT_number 70
loop_
_space_group_symop_operation_xyz
'x,y,z'
'-x,-y,-z'
'-x+1/4,-y+1/4,z'
'x+1/4,y+1/4,-z'
'x,-y+1/4,-z+1/4'
'-x,y+1/4,z+1/4'
'-x+1/4,y,-z+1/4'
'x+1/4,-y,z+1/4'
'x,y+1/2,z+1/2'
'-x,-y+1/2,-z+1/2'
'-x+1/4,-y+3/4,z+1/2'
'x+1/4,y+3/4,-z+1/2'
'x,-y+3/4,-z+3/4'
'-x,y+3/4,z+3/4'
'-x+1/4,y+1/2,-z+3/4'
'x+1/4,-y+1/2,z+3/4'
'x+1/2,y,z+1/2'
'-x+1/2,-y,-z+1/2'
'-x+3/4,-y+1/4,z+1/2'
'x+3/4,y+1/4,-z+1/2'
'x+1/2,-y+1/4,-z+3/4'
'-x+1/2,y+1/4,z+3/4'
'-x+3/4,y,-z+3/4'
'x+3/4,-y,z+3/4'
'x+1/2,y+1/2,z'
'-x+1/2,-y+1/2,-z'
'-x+3/4,-y+3/4,z'
'x+3/4,y+3/4,-z'
'x+1/2,-y+3/4,-z+1/4'
'-x+1/2,y+3/4,z+1/4'
'-x+3/4,y+1/2,-z+1/4'
'x+3/4,-y+1/2,z+1/4'
loop_
_atom_site_label
_atom_site_type_symbol
_atom_site_fract_x
_atom_site_fract_y
_atom_site_fract_z
Ce1 Ce 0.123 0.375 0.375
Ce2 Ce 0.124 0.374 0.209
N1 N 0.125 0.125 0.042
O1 O 0.125 0.125 0.374
O2 O 0.125 0.125 0.541
```

Principal peaks in the range 10 to 90 degrees two-theta, by angle:
| d (Å) | I_rel |
| --- | --- |
| 2.887 | 1000 |
| 2.500 | 799 |
| 1.768 | 456 |
| 1.508 | 448 |
| 1.445 | 91 |
| 1.148 | 95 |
| 1.146 | 95 |
| 1.118 | 160 |

=====

(3)
Structure and theoretical X-ray diffraction stick pattern of Ce4NO3 (a GGA-PBE-relaxed structure; λ = 1.5418 Å (Cu Kα)).

Atomic structure:
```
data_Ce4NO3
_cell_length_a 4.993
_cell_length_b 4.993
_cell_length_c 4.993
_cell_angle_alpha 90.00
_cell_angle_beta 90.00
_cell_angle_gamma 90.00
_space_group_name_H-M_alt 'P m -3 m'
_space_group_IT_number 221
_space_group_name_Hall '-P 4 2 3'
loop_
_atom_site_label
_atom_site_type_symbol
_atom_site_fract_x
_atom_site_fract_y
_atom_site_fract_z
Ce1 Ce 0.000 0.000 0.000
Ce2 Ce 0.000 0.500 0.500
N1 N 0.500 0.500 0.500
O1 O 0.000 0.000 0.500
```

Principal peaks in the range 10 to 90 degrees two-theta, by angle:
| d (Å) | I_rel |
| --- | --- |
| 2.883 | 1000 |
| 2.496 | 804 |
| 1.765 | 550 |
| 1.505 | 449 |
| 1.441 | 183 |
| 1.248 | 84 |
| 1.145 | 191 |
| 1.116 | 242 |

=====

Repeat the second record exactly.
Structure and theoretical X-ray diffraction stick pattern of Ce3NO2 (a GGA-PBE-relaxed structure; λ = 1.5418 Å (Cu Kα)).

Atomic structure:
```
data_Ce3NO2
_cell_length_a 7.063
_cell_length_b 10.000
_cell_length_c 21.243
_cell_angle_alpha 90.00
_cell_angle_beta 90.00
_cell_angle_gamma 90.00
_space_group_name_H-M_alt 'F d d d'
_space_group_IT_number 70
loop_
_space_group_symop_operation_xyz
'x,y,z'
'-x,-y,-z'
'-x+1/4,-y+1/4,z'
'x+1/4,y+1/4,-z'
'x,-y+1/4,-z+1/4'
'-x,y+1/4,z+1/4'
'-x+1/4,y,-z+1/4'
'x+1/4,-y,z+1/4'
'x,y+1/2,z+1/2'
'-x,-y+1/2,-z+1/2'
'-x+1/4,-y+3/4,z+1/2'
'x+1/4,y+3/4,-z+1/2'
'x,-y+3/4,-z+3/4'
'-x,y+3/4,z+3/4'
'-x+1/4,y+1/2,-z+3/4'
'x+1/4,-y+1/2,z+3/4'
'x+1/2,y,z+1/2'
'-x+1/2,-y,-z+1/2'
'-x+3/4,-y+1/4,z+1/2'
'x+3/4,y+1/4,-z+1/2'
'x+1/2,-y+1/4,-z+3/4'
'-x+1/2,y+1/4,z+3/4'
'-x+3/4,y,-z+3/4'
'x+3/4,-y,z+3/4'
'x+1/2,y+1/2,z'
'-x+1/2,-y+1/2,-z'
'-x+3/4,-y+3/4,z'
'x+3/4,y+3/4,-z'
'x+1/2,-y+3/4,-z+1/4'
'-x+1/2,y+3/4,z+1/4'
'-x+3/4,y+1/2,-z+1/4'
'x+3/4,-y+1/2,z+1/4'
loop_
_atom_site_label
_atom_site_type_symbol
_atom_site_fract_x
_atom_site_fract_y
_atom_site_fract_z
Ce1 Ce 0.123 0.375 0.375
Ce2 Ce 0.124 0.374 0.209
N1 N 0.125 0.125 0.042
O1 O 0.125 0.125 0.374
O2 O 0.125 0.125 0.541
```

Principal peaks in the range 10 to 90 degrees two-theta, by angle:
| d (Å) | I_rel |
| --- | --- |
| 2.887 | 1000 |
| 2.500 | 799 |
| 1.768 | 456 |
| 1.508 | 448 |
| 1.445 | 91 |
| 1.148 | 95 |
| 1.146 | 95 |
| 1.118 | 160 |